# 1
Structure and simulated X-ray powder pattern of La2NdPt9 (a DFT-relaxed cell (PBE, Alexandria); CuKα).

Crystal structure
Cell: 5.4827 5.4827 27.0397 Å, 90.00 90.00 120.00°
Space group R-3m (No. 166, hexagonal axes)
Inequivalent atoms, fractional coordinates:
1 La 0.0000 0.0000 0.1390 (multiplicity 6)
2 Nd 0.0000 0.0000 0.0000 (multiplicity 3)
3 Pt 0.0000 0.0000 0.3327 (multiplicity 6)
4 Pt 0.0000 0.0000 0.5000 (multiplicity 3)
5 Pt 0.0030 0.5015 0.9162 (multiplicity 18)

Largest 8 diffraction maxima, by angle, 2θ = 10–90°:
h k l, 2θ/deg, I/Imax
1 0 1, 18.98, 24
0 2 1, 38.05, 25
1 1 6, 38.44, 100
0 0 12, 40.01, 26
2 0 5, 41.54, 41
0 2 7, 44.80, 20
0 3 6, 62.16, 23
2 2 0, 68.45, 24

# 2
Structure and simulated X-ray powder pattern of La2Nd2Pt2Rh (a DFT-relaxed cell (PBE, Alexandria); CuKα).

Crystal structure
Cell: 14.3932 4.0054 7.7361 Å, 90.00 116.05 90.00°
Space group C2/m (No. 12)
Inequivalent atoms, fractional coordinates:
1 La 0.0309 0.0000 0.2613 (multiplicity 4)
2 Nd 0.2153 0.5000 0.7766 (multiplicity 4)
3 Pt 0.1184 0.5000 0.0499 (multiplicity 4)
4 Rh 0.0000 0.5000 0.5000 (multiplicity 2)

Largest 8 diffraction maxima, by angle, 2θ = 10–90°:
h k l, 2θ/deg, I/Imax
0 0 1, 12.74, 95
1 1 1, 28.04, 75
3 1 0, 30.47, 88
1 1 -2, 32.48, 97
3 1 -2, 33.57, 82
4 0 1, 35.39, 80
5 1 -1, 38.59, 100
0 2 0, 45.28, 58

# 3
Structure and simulated X-ray powder pattern of LaNdPtRh (a DFT-relaxed cell (PBE, Alexandria); CuKα).

Crystal structure
Cell: 4.3772 3.9752 11.1262 Å, 90.00 90.00 90.00°
Space group Amm2 (No. 38)
Inequivalent atoms, fractional coordinates:
1 La 0.0000 0.0000 0.0000 (multiplicity 2)
2 Nd 0.5000 0.0000 0.2765 (multiplicity 2)
3 Pt 0.0000 0.0000 0.7233 (multiplicity 2)
4 Rh 0.5000 0.0000 0.5446 (multiplicity 2)

Largest 8 diffraction maxima, by angle, 2θ = 10–90°:
h k l, 2θ/deg, I/Imax
1 1 1, 31.44, 100
0 0 4, 32.18, 33
0 1 3, 33.03, 16
1 0 4, 38.34, 22
1 1 3, 39.07, 74
2 0 0, 41.25, 28
0 2 0, 45.64, 21
2 0 4, 53.26, 16

# 4
Structure and simulated X-ray powder pattern of La2NdSn3Pt4 (a DFT-relaxed cell (PBE, Alexandria); CuKα).

Crystal structure
Cell: 4.6685 4.6685 11.2205 Å, 90.00 90.00 90.00°
Space group P-4m2 (No. 115)
Inequivalent atoms, fractional coordinates:
1 La 0.0000 0.5000 0.2178 (multiplicity 2)
2 Nd 0.0000 0.0000 0.5000 (multiplicity 1)
3 Sn 0.0000 0.5000 0.8791 (multiplicity 2)
4 Sn 0.5000 0.5000 0.5000 (multiplicity 1)
5 Pt 0.0000 0.0000 0.0000 (multiplicity 1)
6 Pt 0.0000 0.5000 0.6470 (multiplicity 2)
7 Pt 0.5000 0.5000 0.0000 (multiplicity 1)

Largest 8 diffraction maxima, by angle, 2θ = 10–90°:
h k l, 2θ/deg, I/Imax
1 0 3, 30.63, 33
1 1 2, 31.44, 100
2 0 0, 38.57, 71
1 1 4, 42.28, 48
1 0 5, 44.81, 18
2 2 0, 55.69, 25
3 1 2, 65.36, 25
3 1 4, 72.33, 21

# 5
Structure and simulated X-ray powder pattern of LaNdTh2Pt4 (a DFT-relaxed cell (PBE, Alexandria); CuKα).

Crystal structure
Cell: 5.9380 5.9380 11.9657 Å, 90.00 90.00 90.00°
Space group I4/mmm (No. 139)
Inequivalent atoms, fractional coordinates:
1 La 0.0000 0.0000 0.0000 (multiplicity 2)
2 Nd 0.0000 0.0000 0.5000 (multiplicity 2)
3 Th 0.0000 0.5000 0.2500 (multiplicity 4)
4 Pt 0.0000 0.0000 0.2510 (multiplicity 4)
5 Pt 0.0000 0.5000 0.0000 (multiplicity 4)

Largest 8 diffraction maxima, by angle, 2θ = 10–90°:
h k l, 2θ/deg, I/Imax
0 0 4, 29.87, 51
2 0 0, 30.10, 100
2 0 4, 42.92, 77
2 2 0, 43.09, 38
2 2 4, 53.31, 41
2 0 8, 70.50, 18
4 0 4, 70.87, 18
4 2 4, 78.87, 27

# 6
Structure and simulated X-ray powder pattern of La12Nd7Pu (a DFT-relaxed cell (PBE, Alexandria); CuKα).

Crystal structure
Cell: 19.7449 19.7449 6.4330 Å, 90.00 90.00 120.00°
Space group R-3 (No. 148, hexagonal axes)
Inequivalent atoms, fractional coordinates:
1 La 0.0002 0.4072 0.0007 (multiplicity 18)
2 La 0.0961 0.5483 0.4880 (multiplicity 18)
3 Nd 0.0000 0.0000 0.0000 (multiplicity 3)
4 Nd 0.0824 0.1643 0.3073 (multiplicity 18)
5 Pu 0.0000 0.0000 0.5000 (multiplicity 3)

Largest 8 diffraction maxima, by angle, 2θ = 10–90°:
h k l, 2θ/deg, I/Imax
3 3 0, 27.10, 38
0 5 1, 29.62, 100
6 -1 1, 32.30, 33
5 2 0, 32.71, 32
4 -1 2, 33.67, 26
5 0 2, 38.42, 26
5 5 0, 45.96, 21
0 7 2, 46.69, 24

# 7
Structure and simulated X-ray powder pattern of La6NdPu (a DFT-relaxed cell (PBE, Alexandria); CuKα).

Crystal structure
Cell: 7.2862 10.2941 14.4301 Å, 90.00 90.00 90.00°
Space group Fmmm (No. 69)
Inequivalent atoms, fractional coordinates:
1 La 0.0000 0.0000 0.2349 (multiplicity 8)
2 La 0.2500 0.2500 0.1189 (multiplicity 16)
3 Nd 0.0000 0.0000 0.5000 (multiplicity 4)
4 Pu 0.0000 0.0000 0.0000 (multiplicity 4)

Largest 8 diffraction maxima, by angle, 2θ = 10–90°:
h k l, 2θ/deg, I/Imax
2 2 0, 30.05, 100
0 2 4, 30.25, 94
0 4 0, 34.86, 34
2 0 4, 35.00, 64
2 4 4, 50.24, 46
4 2 4, 59.65, 41
2 2 8, 59.98, 24
6 0 4, 84.16, 16

# 8
Structure and simulated X-ray powder pattern of La3Nd3PuSe8 (a DFT-relaxed cell (PBE, Alexandria); CuKα).

Crystal structure
Cell: 8.4790 8.4790 21.0198 Å, 90.00 90.00 120.00°
Space group R-3m (No. 166, hexagonal axes)
Inequivalent atoms, fractional coordinates:
1 La 0.0000 0.5000 0.0000 (multiplicity 9)
2 Nd 0.0000 0.5000 0.5000 (multiplicity 9)
3 Pu 0.0000 0.0000 0.5000 (multiplicity 3)
4 Se 0.0000 0.0000 0.2485 (multiplicity 6)
5 Se 0.0013 0.5006 0.2482 (multiplicity 18)

Largest 8 diffraction maxima, by angle, 2θ = 10–90°:
h k l, 2θ/deg, I/Imax
0 2 4, 29.68, 100
2 0 8, 42.30, 38
2 2 0, 42.65, 37
4 0 4, 52.83, 20
0 4 8, 61.63, 12
2 2 12, 69.63, 17
2 4 4, 70.14, 17
4 2 8, 77.84, 13